(1)
This entry pairs a crystal structure of Ba2Ge2O with its simulated powder diffraction line list. Radiation: Cu Kα (λ = 1.5418 Å). Structure: DFT lattice parameters and positions (GGA-PBE).
No peak broadening, texture or thermal motion is included.

```
data_Ba2Ge2O
_chemical_formula_sum 'Ba4 Ge4 O2'
_cell_length_a 17.1264
_cell_length_b 17.1264
_cell_length_c 17.1264
_cell_angle_alpha 166.19
_cell_angle_beta 166.19
_cell_angle_gamma 19.58
_space_group_name_H-M_alt 'P 1'
_space_group_IT_number 1
_space_group_name_Hall 'P 1'
loop_
_atom_site_label
_atom_site_type_symbol
_atom_site_fract_x
_atom_site_fract_y
_atom_site_fract_z
Ba1 Ba 0.0773 0.3273 0.7500
Ba2 Ba 0.3273 0.0773 0.2500
Ba3 Ba 0.6727 0.9227 0.7500
Ba4 Ba 0.9227 0.6727 0.2500
Ge1 Ge 0.2294 0.4794 0.7500
Ge2 Ge 0.4794 0.2294 0.2500
Ge3 Ge 0.5206 0.7706 0.7500
Ge4 Ge 0.7706 0.5206 0.2500
O1 O 0.1250 0.8750 0.2500
O2 O 0.8750 0.1250 0.7500
```

Main lines, by angle (2θ = 10–90°):
| 2θ/deg | I/Imax |
| --- | --- |
| 25.33 | 94 |
| 28.50 | 100 |
| 31.16 | 70 |
| 34.68 | 30 |
| 43.96 | 43 |
| 49.05 | 29 |
| 51.42 | 26 |
| 53.23 | 35 |

---

(2)
This entry pairs a crystal structure of Ba2LaC3O9F with its simulated powder diffraction line list. Radiation: Cu Kα (λ = 1.5418 Å). Structure: DFT lattice parameters and positions (GGA-PBE).
No peak broadening, texture or thermal motion is included.

```
data_Ba2LaC3O9F
_chemical_formula_sum 'Ba4 La2 C6 O18 F2'
_cell_length_a 6.7249
_cell_length_b 5.1782
_cell_length_c 13.3297
_cell_angle_alpha 90.00
_cell_angle_beta 102.55
_cell_angle_gamma 90.00
_space_group_name_H-M_alt 'P 1'
_space_group_IT_number 1
_space_group_name_Hall 'P 1'
loop_
_atom_site_label
_atom_site_type_symbol
_atom_site_fract_x
_atom_site_fract_y
_atom_site_fract_z
Ba1 Ba 0.2152 0.2500 0.4250
Ba2 Ba 0.2726 0.2500 0.0833
Ba3 Ba 0.7274 0.7500 0.9167
Ba4 Ba 0.7848 0.7500 0.5750
La1 La 0.2266 0.2500 0.7383
La2 La 0.7734 0.7500 0.2617
C1 C 0.2152 0.7500 0.2274
C2 C 0.2544 0.7500 0.9266
C3 C 0.3315 0.7500 0.6279
C4 C 0.6685 0.2500 0.3721
C5 C 0.7456 0.2500 0.0734
C6 C 0.7848 0.2500 0.7726
O1 O 0.1223 0.5343 0.2380
O2 O 0.1223 0.9657 0.2380
O3 O 0.1353 0.7500 0.9904
O4 O 0.1918 0.7500 0.6828
O5 O 0.3212 0.5324 0.8972
O6 O 0.3212 0.9676 0.8972
O7 O 0.3903 0.7500 0.2024
O8 O 0.4012 0.5313 0.6037
O9 O 0.4012 0.9687 0.6037
O10 O 0.5988 0.0313 0.3963
O11 O 0.5988 0.4687 0.3963
O12 O 0.6097 0.2500 0.7976
O13 O 0.6788 0.0324 0.1028
O14 O 0.6788 0.4676 0.1028
O15 O 0.8082 0.2500 0.3172
O16 O 0.8647 0.2500 0.0096
O17 O 0.8777 0.0343 0.7620
O18 O 0.8777 0.4657 0.7620
F1 F 0.0138 0.7500 0.4266
F2 F 0.9862 0.2500 0.5734
```

Main lines, by angle (2θ = 10–90°):
| 2θ/deg | I/Imax |
| --- | --- |
| 21.86 | 78 |
| 21.97 | 36 |
| 26.81 | 100 |
| 27.17 | 42 |
| 35.07 | 38 |
| 41.41 | 33 |
| 41.77 | 30 |
| 44.60 | 39 |

---

Q: What is the formula in the first record?
A: Ba2Ge2O

---

What did the second record say?
This entry pairs a crystal structure of Ba2LaC3O9F with its simulated powder diffraction line list. Radiation: Cu Kα (λ = 1.5418 Å). Structure: DFT lattice parameters and positions (GGA-PBE).
No peak broadening, texture or thermal motion is included.

```
data_Ba2LaC3O9F
_chemical_formula_sum 'Ba4 La2 C6 O18 F2'
_cell_length_a 6.7249
_cell_length_b 5.1782
_cell_length_c 13.3297
_cell_angle_alpha 90.00
_cell_angle_beta 102.55
_cell_angle_gamma 90.00
_space_group_name_H-M_alt 'P 1'
_space_group_IT_number 1
_space_group_name_Hall 'P 1'
loop_
_atom_site_label
_atom_site_type_symbol
_atom_site_fract_x
_atom_site_fract_y
_atom_site_fract_z
Ba1 Ba 0.2152 0.2500 0.4250
Ba2 Ba 0.2726 0.2500 0.0833
Ba3 Ba 0.7274 0.7500 0.9167
Ba4 Ba 0.7848 0.7500 0.5750
La1 La 0.2266 0.2500 0.7383
La2 La 0.7734 0.7500 0.2617
C1 C 0.2152 0.7500 0.2274
C2 C 0.2544 0.7500 0.9266
C3 C 0.3315 0.7500 0.6279
C4 C 0.6685 0.2500 0.3721
C5 C 0.7456 0.2500 0.0734
C6 C 0.7848 0.2500 0.7726
O1 O 0.1223 0.5343 0.2380
O2 O 0.1223 0.9657 0.2380
O3 O 0.1353 0.7500 0.9904
O4 O 0.1918 0.7500 0.6828
O5 O 0.3212 0.5324 0.8972
O6 O 0.3212 0.9676 0.8972
O7 O 0.3903 0.7500 0.2024
O8 O 0.4012 0.5313 0.6037
O9 O 0.4012 0.9687 0.6037
O10 O 0.5988 0.0313 0.3963
O11 O 0.5988 0.4687 0.3963
O12 O 0.6097 0.2500 0.7976
O13 O 0.6788 0.0324 0.1028
O14 O 0.6788 0.4676 0.1028
O15 O 0.8082 0.2500 0.3172
O16 O 0.8647 0.2500 0.0096
O17 O 0.8777 0.0343 0.7620
O18 O 0.8777 0.4657 0.7620
F1 F 0.0138 0.7500 0.4266
F2 F 0.9862 0.2500 0.5734
```

Main lines, by angle (2θ = 10–90°):
| 2θ/deg | I/Imax |
| --- | --- |
| 21.86 | 78 |
| 21.97 | 36 |
| 26.81 | 100 |
| 27.17 | 42 |
| 35.07 | 38 |
| 41.41 | 33 |
| 41.77 | 30 |
| 44.60 | 39 |